CaNd2Mn3O9: simulated powder XRD pattern (Cu Kα), based on a structure optimized by DFT (GGA+U).
Intensities are scaled so that the largest is 1000.

The 6 most intense peaks (15 to 90 degrees two-theta), low angle first:
d (Å), intensity, (hkl)
2.799, 181, 6 0 0
2.743, 1000, 3 2 1
1.959, 218, 6 0 2
1.922, 126, 0 4 0
1.584, 258, 3 2 3
1.372, 109, 6 4 2

Crystal structure
Lattice parameters (Å, degrees): 16.7925 7.6887 5.4842 90.00 90.00 90.00
Element x y z (fractional)
Ca 0.1503 0.2500 0.0081
Ca 0.3497 0.7500 0.5081
Ca 0.6503 0.2500 0.4919
Ca 0.8497 0.7500 0.9919
Nd 0.0146 0.7500 0.5086
Nd 0.1837 0.7500 0.9838
Nd 0.3163 0.2500 0.4838
Nd 0.4854 0.2500 0.0086
Nd 0.5146 0.7500 0.9914
Nd 0.6837 0.7500 0.5162
Nd 0.8163 0.2500 0.0162
Nd 0.9854 0.2500 0.4914
Mn 0.0000 0.0000 0.0000
Mn 0.0000 0.5000 0.0000
Mn 0.1670 0.0011 0.4960
Mn 0.1670 0.4989 0.4960
Mn 0.3330 0.5011 0.9960
Mn 0.3330 0.9989 0.9960
Mn 0.5000 0.0000 0.5000
Mn 0.5000 0.5000 0.5000
Mn 0.6670 0.0011 0.0040
Mn 0.6670 0.4989 0.0040
Mn 0.8330 0.5011 0.5040
Mn 0.8330 0.9989 0.5040
O 0.0071 0.2500 0.9207
O 0.0688 0.0381 0.2910
O 0.0688 0.4619 0.2910
O 0.0959 0.5472 0.7816
O 0.0959 0.9528 0.7816
O 0.1584 0.7500 0.4126
O 0.1735 0.2500 0.5820
O 0.2364 0.0447 0.2067
O 0.2364 0.4553 0.2067
O 0.2636 0.5447 0.7067
O 0.2636 0.9553 0.7067
O 0.3265 0.7500 0.0820
O 0.3416 0.2500 0.9126
O 0.4041 0.0472 0.2816
O 0.4041 0.4528 0.2816
O 0.4312 0.5381 0.7910
O 0.4312 0.9619 0.7910
O 0.4929 0.7500 0.4207
O 0.5071 0.2500 0.5793
O 0.5688 0.0381 0.2090
O 0.5688 0.4619 0.2090
O 0.5959 0.5472 0.7184
O 0.5959 0.9528 0.7184
O 0.6584 0.7500 0.0874
O 0.6735 0.2500 0.9180
O 0.7364 0.0447 0.2933
O 0.7364 0.4553 0.2933
O 0.7636 0.5447 0.7933
O 0.7636 0.9553 0.7933
O 0.8265 0.7500 0.4180
O 0.8416 0.2500 0.5874
O 0.9041 0.0472 0.2184
O 0.9041 0.4528 0.2184
O 0.9312 0.5381 0.7090
O 0.9312 0.9619 0.7090
O 0.9929 0.7500 0.0793